For AcSm2InN, a crystal structure in Alexandria, relaxed with PBE gives the simulated XRD peak list in this record (λ = 1.5418 Å (Cu Kα)).
No peak broadening, texture or thermal motion is included.

Crystal structure
Unit cell a=5.029 b=5.029 c=5.265 alpha=90.00 beta=90.00 gamma=90.00
Element x y z (fractional)
Ac1 0.000 0.000 0.000
Sm1 0.000 0.500 0.500
Sm2 0.500 0.000 0.500
In1 0.500 0.500 0.000
N1 0.000 0.000 0.500

Top 12 peaks for 2θ = 5–70°, in order of rising 2θ:
d/Å  Rel. int.
5.029  6
3.637  3
2.947  100
2.633  20
2.515  35
2.332  2
2.249  2
1.818  27
1.778  13
1.574  16
1.522  28
1.473  13